No. 1
# ErTh3Sc3
Calculated powder diffractogram, Cu Kα, 1.54184 Å. Input: a crystal structure in Alexandria, relaxed with GGA-PBE.
Peak positions follow from Bragg's law for the DFT cell and can differ from measured ones.

Most intense lines, 10 to 90 degrees two-theta, in order of rising 2θ:
- 2θ 12.41, intensity 449
- 2θ 25.17, intensity 253
- 2θ 31.67, intensity 341
- 2θ 31.92, intensity 1000
- 2θ 36.95, intensity 676
- 2θ 63.45, intensity 280

Cell and atoms:
```
ErTh3Sc3
1.0
4.538 2.620 5.650
-4.538 2.620 5.650
0.000 -5.240 5.650
Er Th Sc
2 6 6
Direct
0.248 0.248 0.248
0.752 0.752 0.752
0.176 0.613 0.458
0.387 0.542 0.824
0.458 0.176 0.613
0.542 0.824 0.387
0.613 0.458 0.176
0.824 0.387 0.542
0.035 0.318 0.891
0.109 0.965 0.682
0.318 0.891 0.035
0.682 0.109 0.965
0.891 0.035 0.318
0.965 0.682 0.109
```

---

No. 2
# SmHoMn17
Calculated powder diffractogram, Cu Kα, 1.54184 Å. Input: a crystal structure in Alexandria, relaxed with GGA-PBE.
Peak positions follow from Bragg's law for the DFT cell and can differ from measured ones.

Most intense lines, 10 to 90 degrees two-theta, in order of rising 2θ:
- 2θ 30.90, intensity 446
- 2θ 35.89, intensity 477
- 2θ 39.13, intensity 647
- 2θ 41.68, intensity 909
- 2θ 42.99, intensity 1000
- 2θ 44.57, intensity 334

Cell and atoms:
```
SmHoMn17
1.0
4.334 2.502 3.887
-4.334 2.502 3.887
0.000 -5.004 3.887
Sm Ho Mn
1 1 17
Direct
0.000 0.000 0.000
0.710 0.710 0.710
0.001 0.001 0.480
0.001 0.480 0.001
0.082 0.357 0.631
0.082 0.631 0.357
0.234 0.710 0.710
0.257 0.257 0.257
0.357 0.082 0.631
0.357 0.357 0.856
0.357 0.631 0.082
0.357 0.856 0.357
0.456 0.456 0.456
0.480 0.001 0.001
0.631 0.082 0.357
0.631 0.357 0.082
0.710 0.234 0.710
0.710 0.710 0.234
0.856 0.357 0.357
```

---

No. 3
# Tl5In2Hg2
Calculated powder diffractogram, Cu Kα, 1.54184 Å. Input: a crystal structure in Alexandria, relaxed with GGA-PBE.
Peak positions follow from Bragg's law for the DFT cell and can differ from measured ones.

Most intense lines, 10 to 90 degrees two-theta, in order of rising 2θ:
- 2θ 29.59, intensity 1000
- 2θ 37.23, intensity 539
- 2θ 38.75, intensity 156
- 2θ 46.98, intensity 284
- 2θ 56.51, intensity 166
- 2θ 62.48, intensity 233

Cell and atoms:
```
Tl5In2Hg2
1.0
3.868 0.000 0.000
-1.934 3.350 0.000
0.000 0.000 20.912
Tl In Hg
5 2 2
Direct
0.000 0.000 0.000
0.333 0.667 0.217
0.333 0.667 0.559
0.667 0.333 0.441
0.667 0.333 0.783
0.000 0.000 0.329
0.000 0.000 0.671
0.333 0.667 0.891
0.667 0.333 0.109
```